# 1
Diffraction record for Li7Mn4CoO12. The XRD peak list is calculated, not measured: it uses a cell relaxed with PBE+U and Cu Kα (λ = 1.5418 Å).

Peak list (12 most intense, 2θ from 10° to 80°, in order of rising 2θ)
2θ = 10.11°, intensity 10; 2θ = 11.33°, intensity 14; 2θ = 18.39°, intensity 100; 2θ = 34.38°, intensity 15; 2θ = 36.36°, intensity 24; 2θ = 41.47°, intensity 31; 2θ = 44.29°, intensity 55; 2θ = 47.29°, intensity 9; 2θ = 58.39°, intensity 9; 2θ = 62.07°, intensity 15; 2θ = 62.51°, intensity 16; 2θ = 65.03°, intensity 8

Structure:
a = 8.709 Å, b = 2.868 Å, c = 9.737 Å
α = 90.00°, β = 116.04°, γ = 90.00°
Fractional coordinates of all 24 atoms:
Li 0.000 0.000 0.000
Li 0.000 0.500 0.498
Li 0.331 0.500 0.170
Li 0.375 0.000 0.665
Li 0.501 0.500 0.497
Li 0.632 0.000 0.332
Li 0.671 0.500 0.826
Mn 0.161 0.500 0.827
Mn 0.187 0.000 0.337
Mn 0.509 0.000 0.002
Mn 0.814 0.000 0.660
Co 0.849 0.500 0.173
O 0.063 0.000 0.673
O 0.100 0.500 0.184
O 0.235 0.000 0.978
O 0.246 0.500 0.486
O 0.394 0.000 0.330
O 0.433 0.500 0.846
O 0.581 0.500 0.156
O 0.606 0.000 0.667
O 0.755 0.500 0.512
O 0.774 0.000 0.026
O 0.900 0.500 0.813
O 0.939 0.000 0.321



# 2
Diffraction record for Li3Mn3CoO8. The XRD peak list is calculated, not measured: it uses a cell relaxed with PBE+U and Cu Kα (λ = 1.5418 Å).

Peak list (12 most intense, 2θ from 10° to 80°, in order of rising 2θ)
2θ = 18.08°, intensity 100; 2θ = 35.26°, intensity 24; 2θ = 36.87°, intensity 12; 2θ = 37.27°, intensity 7; 2θ = 42.40°, intensity 44; 2θ = 44.83°, intensity 19; 2θ = 47.44°, intensity 7; 2θ = 55.83°, intensity 10; 2θ = 61.32°, intensity 6; 2θ = 61.71°, intensity 6; 2θ = 62.73°, intensity 11; 2θ = 64.07°, intensity 11

Structure:
a = 5.934 Å, b = 5.934 Å, c = 9.971 Å
α = 104.11°, β = 104.11°, γ = 60.88°
Fractional coordinates of all 30 atoms:
Li 0.025 0.975 0.500
Li 0.237 0.746 0.232
Li 0.455 0.523 0.966
Li 0.523 0.455 0.466
Li 0.746 0.237 0.732
Li 0.975 0.025 0.000
Mn 0.007 0.486 0.486
Mn 0.234 0.248 0.735
Mn 0.248 0.234 0.235
Mn 0.486 0.007 0.986
Mn 0.739 0.753 0.735
Mn 0.753 0.739 0.235
Co 0.498 0.989 0.485
Co 0.989 0.498 0.985
O 0.094 0.169 0.861
O 0.094 0.597 0.847
O 0.148 0.570 0.359
O 0.169 0.094 0.361
O 0.333 0.360 0.098
O 0.356 0.900 0.109
O 0.360 0.333 0.598
O 0.384 0.899 0.623
O 0.570 0.148 0.859
O 0.597 0.094 0.347
O 0.642 0.648 0.876
O 0.648 0.642 0.376
O 0.831 0.880 0.606
O 0.880 0.831 0.106
O 0.899 0.384 0.123
O 0.900 0.356 0.609



# 3
Diffraction record for Li3MnCoO5. The XRD peak list is calculated, not measured: it uses a cell relaxed with PBE+U and Cu Kα (λ = 1.5418 Å).

Peak list (12 most intense, 2θ from 10° to 80°, in order of rising 2θ)
2θ = 10.80°, intensity 19; 2θ = 18.06°, intensity 100; 2θ = 21.71°, intensity 8; 2θ = 36.60°, intensity 7; 2θ = 36.81°, intensity 36; 2θ = 38.36°, intensity 8; 2θ = 44.07°, intensity 83; 2θ = 47.94°, intensity 8; 2θ = 57.50°, intensity 8; 2θ = 62.82°, intensity 14; 2θ = 65.28°, intensity 22; 2θ = 68.31°, intensity 8

Structure:
a = 2.858 Å, b = 2.858 Å, c = 24.615 Å
α = 93.18°, β = 93.18°, γ = 60.06°
Fractional coordinates of all 20 atoms:
Li 0.000 0.000 0.000
Li 0.094 0.094 0.297
Li 0.301 0.301 0.896
Li 0.500 0.500 0.500
Li 0.699 0.699 0.104
Li 0.906 0.906 0.703
Mn 0.203 0.203 0.599
Mn 0.797 0.797 0.401
Co 0.398 0.398 0.205
Co 0.602 0.602 0.795
O 0.051 0.051 0.165
O 0.149 0.149 0.446
O 0.255 0.255 0.752
O 0.350 0.350 0.055
O 0.446 0.446 0.357
O 0.554 0.554 0.643
O 0.650 0.650 0.945
O 0.745 0.745 0.248
O 0.851 0.851 0.554
O 0.949 0.949 0.835



# 4
Diffraction record for Li6Mn3CoO10. The XRD peak list is calculated, not measured: it uses a cell relaxed with PBE+U and Cu Kα (λ = 1.5418 Å).

Peak list (12 most intense, 2θ from 10° to 80°, in order of rising 2θ)
2θ = 18.25°, intensity 100; 2θ = 35.71°, intensity 26; 2θ = 36.15°, intensity 11; 2θ = 37.47°, intensity 8; 2θ = 43.13°, intensity 62; 2θ = 43.92°, intensity 28; 2θ = 56.85°, intensity 13; 2θ = 62.29°, intensity 8; 2θ = 62.94°, intensity 15; 2θ = 63.00°, intensity 9; 2θ = 63.55°, intensity 14; 2θ = 79.93°, intensity 10

Structure:
a = 10.503 Å, b = 10.503 Å, c = 5.962 Å
α = 97.46°, β = 97.46°, γ = 16.15°
Fractional coordinates of all 20 atoms:
Li 0.000 0.000 0.000
Li 0.000 0.000 0.490
Li 0.202 0.202 0.595
Li 0.409 0.409 0.215
Li 0.593 0.593 0.782
Li 0.807 0.807 0.402
Mn 0.202 0.202 0.098
Mn 0.599 0.599 0.303
Mn 0.803 0.803 0.891
Co 0.413 0.413 0.687
O 0.103 0.103 0.517
O 0.108 0.108 0.077
O 0.296 0.296 0.123
O 0.303 0.303 0.673
O 0.499 0.499 0.753
O 0.512 0.512 0.248
O 0.699 0.699 0.334
O 0.706 0.706 0.859
O 0.894 0.894 0.933
O 0.901 0.901 0.459



# 5
Diffraction record for Li2MnCo3O8. The XRD peak list is calculated, not measured: it uses a cell relaxed with PBE+U and Cu Kα (λ = 1.5418 Å).

Peak list (12 most intense, 2θ from 10° to 80°, in order of rising 2θ)
2θ = 19.36°, intensity 73; 2θ = 20.50°, intensity 100; 2θ = 26.58°, intensity 31; 2θ = 34.55°, intensity 33; 2θ = 37.25°, intensity 52; 2θ = 37.89°, intensity 57; 2θ = 41.69°, intensity 38; 2θ = 47.46°, intensity 62; 2θ = 54.75°, intensity 22; 2θ = 58.09°, intensity 18; 2θ = 63.26°, intensity 44; 2θ = 65.79°, intensity 39

Structure:
a = 5.678 Å, b = 5.678 Å, c = 9.169 Å
α = 90.00°, β = 90.00°, γ = 120.00°
Fractional coordinates of all 28 atoms:
Li 0.000 0.000 0.000
Li 0.000 0.000 0.500
Li 0.333 0.667 0.398
Li 0.667 0.333 0.898
Mn 0.333 0.667 0.985
Mn 0.667 0.333 0.485
Co 0.169 0.339 0.713
Co 0.169 0.831 0.713
Co 0.339 0.169 0.213
Co 0.661 0.831 0.713
Co 0.831 0.169 0.213
Co 0.831 0.661 0.213
O 0.000 0.000 0.310
O 0.000 0.000 0.810
O 0.040 0.520 0.839
O 0.165 0.330 0.104
O 0.165 0.835 0.104
O 0.330 0.165 0.604
O 0.333 0.667 0.609
O 0.480 0.520 0.839
O 0.480 0.960 0.839
O 0.520 0.040 0.339
O 0.520 0.480 0.339
O 0.667 0.333 0.109
O 0.670 0.835 0.104
O 0.835 0.165 0.604
O 0.835 0.670 0.604
O 0.960 0.480 0.339



# 6
Diffraction record for Li7Mn2Co3O12. The XRD peak list is calculated, not measured: it uses a cell relaxed with PBE+U and Cu Kα (λ = 1.5418 Å).

Peak list (12 most intense, 2θ from 10° to 80°, in order of rising 2θ)
2θ = 15.45°, intensity 11; 2θ = 18.38°, intensity 100; 2θ = 35.61°, intensity 15; 2θ = 35.86°, intensity 13; 2θ = 36.82°, intensity 12; 2θ = 42.96°, intensity 30; 2θ = 43.47°, intensity 28; 2θ = 44.66°, intensity 26; 2θ = 47.68°, intensity 9; 2θ = 62.66°, intensity 8; 2θ = 62.88°, intensity 8; 2θ = 63.11°, intensity 8

Structure:
a = 2.900 Å, b = 5.897 Å, c = 12.817 Å
α = 77.09°, β = 88.90°, γ = 87.89°
Fractional coordinates of all 24 atoms:
Li 0.000 0.000 0.000
Li 0.000 0.166 0.666
Li 0.000 0.500 0.000
Li 0.000 0.834 0.334
Li 0.499 0.684 0.148
Li 0.500 0.000 0.500
Li 0.501 0.316 0.852
Mn 0.490 0.168 0.158
Mn 0.510 0.832 0.842
Co 0.016 0.667 0.665
Co 0.500 0.500 0.500
Co 0.984 0.333 0.335
O 0.003 0.944 0.167
O 0.024 0.607 0.831
O 0.040 0.737 0.503
O 0.472 0.105 0.324
O 0.498 0.244 0.013
O 0.499 0.435 0.658
O 0.501 0.565 0.342
O 0.502 0.756 0.987
O 0.528 0.895 0.676
O 0.960 0.263 0.497
O 0.976 0.393 0.169
O 0.997 0.056 0.833